Entry 1:
This entry pairs a crystal structure of Na2Ga2RuO6 with its theoretical PXRD pattern. Radiation: Cu Kα (weighted mean of Kα1 and Kα2). Structure: a crystal structure in Alexandria, relaxed with GGA-PBE.
Kinematic intensities with the Lorentz-polarization factor, no thermal factor.

Most intense lines, 10 to 80 degrees two-theta, sorted by position:
(0 0 1), 15.6 deg, I = 100
(1 0 1), 25.2 deg, I = 10
(0 0 2), 31.5 deg, I = 16
(1 1 0), 34.4 deg, I = 44
(2 -1 1), 38.0 deg, I = 43
(2 -1 2), 47.4 deg, I = 64
(1 1 3), 60.4 deg, I = 16
(3 0 0), 61.7 deg, I = 18
(3 0 1), 64.1 deg, I = 12
(3 0 2), 70.9 deg, I = 10
(2 2 1), 74.8 deg, I = 6
(1 1 4), 76.4 deg, I = 12

abc: 5.2078 5.2078 5.6821
angles: 90.00 90.00 120.00
Space group P-31m (No. 162)
One atom of each set of equivalent atoms:
Na 0.3333 0.6667 0.0000 x2
Ga 0.3333 0.6667 0.5000 x2
Ru 0.0000 0.0000 0.5000 x1
O 0.0000 0.3351 0.6865 x6

Entry 2:
This entry pairs a crystal structure of Nd16Sm7Dy6 with its theoretical PXRD pattern. Radiation: Cu Kα (weighted mean of Kα1 and Kα2). Structure: a crystal structure in Alexandria, relaxed with GGA-PBE.
Kinematic intensities with the Lorentz-polarization factor, no thermal factor.

Most intense lines, 10 to 80 degrees two-theta, sorted by position:
(4 2 0), 24.8 deg, I = 5
(4 2 2), 27.2 deg, I = 6
(3 3 3), 28.8 deg, I = 9
(4 4 0), 31.5 deg, I = 100
(5 3 1), 32.9 deg, I = 5
(6 2 0), 35.3 deg, I = 5
(7 3 1), 43.2 deg, I = 5
(8 0 0), 45.1 deg, I = 14
(8 4 4), 56.0 deg, I = 28
(7 7 3), 59.4 deg, I = 5
(8 8 0), 65.7 deg, I = 8
(12 4 0), 74.6 deg, I = 8

abc: 16.084 16.084 16.084
angles: 90.00 90.00 90.00
Space group Fm-3m (No. 225)
One atom of each set of equivalent atoms:
Nd 0.125 0.125 0.125 x32
Nd 0.150 0.150 0.350 x32
Sm 0.000 0.000 0.000 x4
Sm 0.000 0.250 0.250 x24
Dy 0.000 0.000 0.265 x24